No. 1
The following is a calculated PXRD pattern of Li2Mn3F8. It was derived from a PBE+U-relaxed structure, using Cu Kα X-rays.
Kinematic intensities with the Lorentz-polarization factor, no thermal factor.

Atomic structure:
Lattice parameters (Å, degrees): 6.8643 9.5527 11.3885 90.00 91.93 90.00
Atoms (fractional coordinates):
Li 0.0885 0.1067 0.1402
Li 0.0885 0.3933 0.6402
Li 0.4014 0.5553 0.1431
Li 0.4014 0.9447 0.6431
Li 0.5986 0.0553 0.3569
Li 0.5986 0.4447 0.8569
Li 0.9115 0.6067 0.3598
Li 0.9115 0.8933 0.8598
Mn 0.1103 0.5460 0.8765
Mn 0.1103 0.9540 0.3765
Mn 0.2604 0.1563 0.8562
Mn 0.2604 0.3437 0.3562
Mn 0.4074 0.6966 0.4336
Mn 0.4074 0.8034 0.9336
Mn 0.5926 0.1966 0.0664
Mn 0.5926 0.3034 0.5664
Mn 0.7396 0.6563 0.6438
Mn 0.7396 0.8437 0.1438
Mn 0.8897 0.0460 0.6235
Mn 0.8897 0.4540 0.1235
F 0.0110 0.5746 0.6935
F 0.0110 0.9254 0.1935
F 0.1044 0.7331 0.4174
F 0.1044 0.7669 0.9174
F 0.1721 0.0081 0.5612
F 0.1721 0.4919 0.0612
F 0.1762 0.1505 0.2959
F 0.1762 0.3495 0.7959
F 0.2991 0.1163 0.0366
F 0.2991 0.3837 0.5366
F 0.3722 0.5395 0.3091
F 0.3722 0.9605 0.8091
F 0.4189 0.5976 0.8744
F 0.4189 0.9024 0.3744
F 0.4609 0.7474 0.1090
F 0.4609 0.7526 0.6090
F 0.5391 0.2474 0.3910
F 0.5391 0.2526 0.8910
F 0.5811 0.0976 0.6256
F 0.5811 0.4024 0.1256
F 0.6278 0.0395 0.1909
F 0.6278 0.4605 0.6909
F 0.7009 0.6163 0.4634
F 0.7009 0.8837 0.9634
F 0.8238 0.6505 0.2041
F 0.8238 0.8495 0.7041
F 0.8279 0.5081 0.9388
F 0.8279 0.9919 0.4388
F 0.8956 0.2331 0.0826
F 0.8956 0.2669 0.5826
F 0.9890 0.0746 0.8065
F 0.9890 0.4254 0.3065

Peak list (6 most intense, 2θ from 10° to 80°, in order of falling intensity)
2θ/deg  intensity
19.93  100
29.12  48
22.67  42
40.56  34
31.44  31
32.84  29

No. 2
The following is a calculated PXRD pattern of CaW2O4. It was derived from a PBE+U-relaxed structure, using Cu Kα X-rays.
Kinematic intensities with the Lorentz-polarization factor, no thermal factor.

Atomic structure:
Lattice parameters (Å, degrees): 6.5659 6.6634 16.2262 89.12 90.00 60.71
Atoms (fractional coordinates):
Ca 0.0000 0.0000 0.0000
Ca 0.0019 0.9965 0.2464
Ca 0.3305 0.3357 0.5792
Ca 0.3340 0.3305 0.3332
Ca 0.6599 0.6749 0.9100
Ca 0.9934 0.0060 0.6201
W 0.0006 0.4979 0.1221
W 0.1612 0.1750 0.7913
W 0.1634 0.6720 0.7904
W 0.3296 0.3373 0.9562
W 0.3300 0.8352 0.4543
W 0.5013 0.4979 0.1219
W 0.5012 0.9977 0.1214
W 0.6304 0.7372 0.6475
W 0.6623 0.1743 0.7910
W 0.6672 0.6648 0.2883
W 0.8343 0.8350 0.4542
W 0.8345 0.3297 0.4541
O 0.0018 0.9997 0.8585
O 0.0383 0.4724 0.8647
O 0.1493 0.7001 0.5305
O 0.1564 0.1494 0.5254
O 0.1839 0.1905 0.0448
O 0.1887 0.6231 0.0423
O 0.3239 0.3435 0.7257
O 0.3251 0.8647 0.7312
O 0.3373 0.3242 0.1894
O 0.3757 0.8059 0.1979
O 0.4637 0.0542 0.8685
O 0.4768 0.4831 0.8675
O 0.5158 0.5257 0.3777
O 0.5238 0.9529 0.3740
O 0.6232 0.1922 0.0435
O 0.6653 0.6708 0.0528
O 0.6730 0.6536 0.5248
O 0.6920 0.1493 0.5258
O 0.8124 0.3737 0.2014
O 0.8179 0.8065 0.1976
O 0.8243 0.8530 0.7240
O 0.8696 0.2927 0.7220
O 0.9574 0.5261 0.3773
O 0.9980 0.0044 0.3861

Peak list (6 most intense, 2θ from 10° to 80°, in order of falling intensity)
2θ/deg  intensity
16.36  100
31.87  72
33.11  50
31.75  49
38.70  47
31.20  36

No. 3
The following is a calculated PXRD pattern of Tm2MnGe4O12. It was derived from a PBE+U-relaxed structure, using Cu Kα X-rays.
Kinematic intensities with the Lorentz-polarization factor, no thermal factor.

Atomic structure:
Lattice parameters (Å, degrees): 9.9575 9.9575 4.9988 90.00 90.00 90.48
Atoms (fractional coordinates):
Tm 0.0000 0.5000 0.0000
Tm 0.2500 0.2500 0.0000
Tm 0.5000 0.0000 0.0000
Tm 0.7500 0.7500 0.0000
Mn 0.0000 0.0000 0.0000
Mn 0.5000 0.5000 0.0000
Ge 0.0200 0.7529 0.5038
Ge 0.2471 0.9800 0.5038
Ge 0.2529 0.5200 0.5038
Ge 0.4800 0.7471 0.5038
Ge 0.5200 0.2529 0.4962
Ge 0.7471 0.4800 0.4962
Ge 0.7529 0.0200 0.4962
Ge 0.9800 0.2471 0.4962
O 0.0640 0.3310 0.7555
O 0.0661 0.1683 0.2383
O 0.1261 0.6261 0.6718
O 0.1305 0.8695 0.3314
O 0.1683 0.0661 0.7617
O 0.1690 0.4360 0.2445
O 0.3310 0.0640 0.2445
O 0.3317 0.4339 0.7617
O 0.3695 0.6305 0.3314
O 0.3739 0.8739 0.6718
O 0.4339 0.3317 0.2383
O 0.4360 0.1690 0.7555
O 0.5640 0.8310 0.2445
O 0.5661 0.6683 0.7617
O 0.6261 0.1261 0.3282
O 0.6305 0.3695 0.6686
O 0.6683 0.5661 0.2383
O 0.6690 0.9360 0.7555
O 0.8310 0.5640 0.7555
O 0.8317 0.9339 0.2383
O 0.8695 0.1305 0.6686
O 0.8739 0.3739 0.3282
O 0.9339 0.8317 0.7617
O 0.9360 0.6690 0.2445

Peak list (6 most intense, 2θ from 10° to 80°, in order of falling intensity)
2θ/deg  intensity
30.98  100
31.16  96
21.83  65
51.84  53
12.62  53
36.08  46